The following is a computed powder X-ray diffraction pattern of Na4LaNbSi3O12. It was derived from a DFT-relaxed cell (PBE, the Materials Project), using Cu Kα X-rays.

Main lines, by angle (10 to 90 degrees two-theta):
| 2θ/deg | intensity |
| --- | --- |
| 13.35 | 24 |
| 18.57 | 64 |
| 19.27 | 61 |
| 26.89 | 22 |
| 30.58 | 100 |
| 32.46 | 64 |
| 45.19 | 39 |
| 50.49 | 35 |
| 56.73 | 34 |
| 57.86 | 19 |

a = 9.2241 Å, b = 9.2241 Å, c = 9.2241 Å
α = 62.40°, β = 62.40°, γ = 62.40°
Sites, in units of the cell vectors:
Na: 0.0000 0.0000 0.0000
Na: 0.1133 0.3918 0.7378
Na: 0.2378 0.8918 0.6133
Na: 0.3918 0.7378 0.1133
Na: 0.5000 0.5000 0.5000
Na: 0.6133 0.2378 0.8918
Na: 0.7378 0.1133 0.3918
Na: 0.8918 0.6133 0.2378
La: 0.3447 0.3447 0.3447
La: 0.8447 0.8447 0.8447
Nb: 0.1513 0.1513 0.1513
Nb: 0.6513 0.6513 0.6513
Si: 0.0515 0.7712 0.4398
Si: 0.2712 0.5515 0.9398
Si: 0.4398 0.0515 0.7712
Si: 0.5515 0.9398 0.2712
Si: 0.7712 0.4398 0.0515
Si: 0.9398 0.2712 0.5515
O: 0.0080 0.2287 0.3615
O: 0.0422 0.9528 0.2717
O: 0.0511 0.8082 0.5933
O: 0.0933 0.3082 0.5511
O: 0.1171 0.7275 0.8962
O: 0.2275 0.6171 0.3962
O: 0.2287 0.3615 0.0080
O: 0.2717 0.0422 0.9528
O: 0.3082 0.5511 0.0933
O: 0.3615 0.0080 0.2287
O: 0.3962 0.2275 0.6171
O: 0.4528 0.5422 0.7717
O: 0.5080 0.8615 0.7287
O: 0.5422 0.7717 0.4528
O: 0.5511 0.0933 0.3082
O: 0.5933 0.0511 0.8082
O: 0.6171 0.3962 0.2275
O: 0.7275 0.8962 0.1171
O: 0.7287 0.5080 0.8615
O: 0.7717 0.4528 0.5422
O: 0.8082 0.5933 0.0511
O: 0.8615 0.7287 0.5080
O: 0.8962 0.1171 0.7275
O: 0.9528 0.2717 0.0422